No. 1
Structure and computed PXRD pattern of Ce2MgTc (a cell relaxed with GGA-PBE; Cu Kα).

Structural model:
Unit cell a=5.8532 b=3.8934 c=9.3362 alpha=90.00 beta=100.62 gamma=90.00
Element x y z (fractional)
Ce: 0.1884 0.0000 0.1407
Ce: 0.2924 0.0001 0.7601
Ce: 0.7076 0.5001 0.2399
Ce: 0.8116 0.5000 0.8593
Mg: 0.2637 0.5008 0.4591
Mg: 0.7363 0.0008 0.5409
Tc: 0.3114 0.4994 0.9540
Tc: 0.6886 0.9994 0.0460

Most intense lines, 5 to 70 degrees two-theta, by intensity:
Position (°2θ), I/Imax
9.6, 100
32.2, 37
31.1, 24
35.7, 23
37.4, 19
30.1, 18
34.3, 14
41.0, 13



No. 2
Structure and computed PXRD pattern of Ce5Th4Mg (a cell relaxed with GGA-PBE; Cu Kα).

Structural model:
Unit cell a=3.4738 b=3.4738 c=24.1589 alpha=90.00 beta=90.00 gamma=90.00
Element x y z (fractional)
Ce: 0.0000 0.0000 0.0000
Ce: 0.0000 0.0000 0.2013
Ce: 0.0000 0.0000 0.4019
Ce: 0.0000 0.0000 0.5981
Ce: 0.0000 0.0000 0.7987
Th: 0.5000 0.5000 0.1004
Th: 0.5000 0.5000 0.3014
Th: 0.5000 0.5000 0.6986
Th: 0.5000 0.5000 0.8996
Mg: 0.5000 0.5000 0.5000

Most intense lines, 5 to 70 degrees two-theta, by intensity:
Position (°2θ), I/Imax
31.7, 100
36.6, 34
62.8, 29
53.2, 24
37.2, 16
63.7, 14
66.3, 12
52.7, 12



No. 3
Structure and computed PXRD pattern of Ce3Th12Mg (a cell relaxed with GGA-PBE; Cu Kα).

Structural model:
Unit cell a=4.9693 b=4.9693 c=20.0300 alpha=90.00 beta=90.00 gamma=90.00
Element x y z (fractional)
Ce: 0.0000 0.0000 0.0000
Ce: 0.0000 0.0000 0.2482
Ce: 0.0000 0.0000 0.7518
Th: 0.0000 0.5000 0.1242
Th: 0.0000 0.5000 0.3756
Th: 0.0000 0.5000 0.6244
Th: 0.0000 0.5000 0.8758
Th: 0.5000 0.0000 0.1242
Th: 0.5000 0.0000 0.3756
Th: 0.5000 0.0000 0.6244
Th: 0.5000 0.0000 0.8758
Th: 0.5000 0.5000 0.0000
Th: 0.5000 0.5000 0.2486
Th: 0.5000 0.5000 0.5000
Th: 0.5000 0.5000 0.7514
Mg: 0.0000 0.0000 0.5000

Most intense lines, 5 to 70 degrees two-theta, by intensity:
Position (°2θ), I/Imax
31.1, 100
36.2, 34
61.9, 29
51.8, 25
35.9, 17
61.5, 15
64.8, 13
52.1, 12



No. 4
Structure and computed PXRD pattern of CeTmMgTi (a cell relaxed with GGA-PBE; Cu Kα).

Structural model:
Unit cell a=7.3789 b=7.3789 c=7.3789 alpha=90.00 beta=90.00 gamma=90.00
Element x y z (fractional)
Ce: 0.0000 0.0000 0.0000
Ce: 0.0000 0.5000 0.5000
Ce: 0.5000 0.0000 0.5000
Ce: 0.5000 0.5000 0.0000
Tm: 0.0000 0.0000 0.5000
Tm: 0.0000 0.5000 0.0000
Tm: 0.5000 0.0000 0.0000
Tm: 0.5000 0.5000 0.5000
Mg: 0.2500 0.2500 0.2500
Mg: 0.2500 0.7500 0.7500
Mg: 0.7500 0.2500 0.7500
Mg: 0.7500 0.7500 0.2500
Ti: 0.2500 0.2500 0.7500
Ti: 0.2500 0.7500 0.2500
Ti: 0.7500 0.2500 0.2500
Ti: 0.7500 0.7500 0.7500

Most intense lines, 5 to 70 degrees two-theta, by intensity:
Position (°2θ), I/Imax
34.4, 100
24.1, 46
61.6, 36
55.7, 20
49.4, 18
42.4, 14
20.9, 2
40.5, 1



No. 5
Structure and computed PXRD pattern of Ce2Mg2Tl7 (a cell relaxed with GGA-PBE; Cu Kα).

Structural model:
Unit cell a=8.8996 b=8.8996 c=8.8996 alpha=147.62 beta=66.19 gamma=124.00
Element x y z (fractional)
Ce: 0.2237 0.0000 0.2237
Ce: 0.7763 0.0000 0.7763
Mg: 0.4952 0.9952 0.5000
Mg: 0.7581 0.7581 0.0000
Tl: 0.0698 0.7002 0.3695
Tl: 0.1093 0.1093 0.0000
Tl: 0.3307 0.7002 0.6305
Tl: 0.3433 0.4740 0.8694
Tl: 0.6046 0.4740 0.1306
Tl: 0.6825 0.3032 0.3792
Tl: 0.9240 0.3032 0.6208

Most intense lines, 5 to 70 degrees two-theta, by intensity:
Position (°2θ), I/Imax
31.9, 100
33.3, 68
28.6, 63
36.2, 46
32.7, 29
23.9, 22
63.3, 21
37.0, 19



No. 6
Structure and computed PXRD pattern of Ce2MgTl3 (a cell relaxed with GGA-PBE; Cu Kα).

Structural model:
Unit cell a=15.2608 b=15.2608 c=6.5351 alpha=90.00 beta=90.00 gamma=167.18
Element x y z (fractional)
Ce: 0.0001 0.9999 0.2500
Ce: 0.9999 0.0001 0.7500
Ce: 0.1620 0.8380 0.7500
Ce: 0.8380 0.1620 0.2500
Mg: 0.3378 0.6622 0.7500
Mg: 0.6622 0.3378 0.2500
Tl: 0.2433 0.7567 0.2500
Tl: 0.4192 0.5808 0.0023
Tl: 0.4192 0.5808 0.4977
Tl: 0.5808 0.4192 0.5023
Tl: 0.5808 0.4192 0.9977
Tl: 0.7567 0.2433 0.7500

Most intense lines, 5 to 70 degrees two-theta, by intensity:
Position (°2θ), I/Imax
38.3, 100
30.1, 93
36.3, 88
35.5, 73
32.6, 70
33.4, 63
33.1, 59
55.4, 57